Starting from DFT lattice parameters and positions (GGA-PBE), the powder XRD pattern of Sn5Au7 was computed for CuKα.
Kinematic intensities with the Lorentz-polarization factor, no thermal factor.

Principal peaks in the range 2θ = 10–80°, in order of falling intensity:
index	d (Å)	2theta	intensity
1 2 1	2.883	31.0	100
0 0 4	2.692	33.3	72
-1 1 2	2.637	34.0	67
1 -1 2	2.501	35.9	66
0 3 -1	1.941	46.8	34
1 2 -3	1.990	45.6	31
0 3 3	1.979	45.8	30
2 1 3	1.841	49.5	29
1 2 5	1.946	46.7	28
2 1 -1	1.914	47.5	26

Cell and atoms:
Unit cell a=4.0118 b=6.5989 c=11.1162 alpha=75.96 beta=83.12 gamma=73.13
Space group P-1 (No. 2)
One atom of each set of equivalent atoms:
Sn 0.0000 0.0000 0.0000 x1
Sn 0.0423 0.5925 0.7632 x2
Sn 0.1437 0.1717 0.5409 x2
Au 0.2971 0.7366 0.2430 x2
Au 0.3326 0.3349 0.9948 x2
Au 0.3855 0.9164 0.7692 x2
Au 0.5000 0.5000 0.5000 x1

Starting from DFT lattice parameters and positions (GGA-PBE), the powder XRD pattern of Sn4Au3 was computed for CuKα.
Kinematic intensities with the Lorentz-polarization factor, no thermal factor.

Principal peaks in the range 2θ = 10–80°, in order of falling intensity:
index	d (Å)	2theta	intensity
0 4 1	2.828	31.6	100
3 1 -2	2.687	33.3	98
1 5 -1	2.403	37.4	37
3 1 0	2.434	36.9	36
2 4 1	2.018	44.9	24
2 4 -2	2.316	38.9	24
1 1 -3	2.186	41.3	22
1 5 3	1.414	66.1	20
1 1 1	3.608	24.7	18
6 2 -3	1.417	65.9	16

Cell and atoms:
Unit cell a=8.7757 b=12.8952 c=6.9722 alpha=90.00 beta=122.15 gamma=90.00
Space group Cc (No. 9)
One atom of each set of equivalent atoms:
Sn 0.0000 0.0000 0.0000 x4
Sn 0.0812 0.4343 0.3465 x4
Sn 0.1102 0.2421 0.6988 x4
Sn 0.3076 0.1764 0.3306 x4
Au 0.2560 0.3726 0.0895 x4
Au 0.3122 0.0582 0.9596 x4
Au 0.4307 0.3147 0.7066 x4

Starting from DFT lattice parameters and positions (GGA-PBE), the powder XRD pattern of Sn2Au was computed for CuKα.
Kinematic intensities with the Lorentz-polarization factor, no thermal factor.

Principal peaks in the range 2θ = 10–80°, in order of falling intensity:
index	d (Å)	2theta	intensity
2 2 -1	2.830	31.6	100
1 1 1	2.819	31.7	44
1 1 -2	2.515	35.7	37
3 1 0	2.164	41.7	29
1 3 1	1.978	45.9	23
4 0 -2	2.041	44.4	20
1 1 0	5.120	17.3	19
0 4 0	1.963	46.2	15
3 1 -2	2.359	38.2	9
2 2 -3	1.656	55.5	9

Cell and atoms:
Unit cell a=8.3271 b=7.8531 c=5.5589 alpha=90.00 beta=125.82 gamma=90.00
Space group C2/c (No. 15)
One atom of each set of equivalent atoms:
Sn 0.1743 0.1328 0.1362 x8
Au 0.0000 0.4067 0.2500 x4

Starting from DFT lattice parameters and positions (GGA-PBE), the powder XRD pattern of Sn2Au was computed for CuKα.
Kinematic intensities with the Lorentz-polarization factor, no thermal factor.

Principal peaks in the range 2θ = 10–80°, in order of falling intensity:
index	d (Å)	2theta	intensity
1 3 2	2.125	42.5	100
0 0 4	2.986	29.9	68
1 2 2	2.825	31.7	58
3 1 2	2.092	43.2	43
1 1 1	4.641	19.1	41
2 1 0	3.166	28.2	37
1 1 5	2.159	41.8	34
2 2 1	2.464	36.5	27
3 1 1	2.196	41.1	26
3 1 3	1.948	46.6	26

Cell and atoms:
Unit cell a=7.0486 b=7.2015 c=11.9453 alpha=90.00 beta=90.00 gamma=90.00
Space group Pbca (No. 61)
One atom of each set of equivalent atoms:
Sn 0.1315 0.0285 0.1712 x8
Sn 0.1460 0.2490 0.4086 x8
Au 0.0111 0.1108 0.6174 x8

Starting from DFT lattice parameters and positions (GGA-PBE), the powder XRD pattern of SnAu3 was computed for CuKα.
Kinematic intensities with the Lorentz-polarization factor, no thermal factor.

Principal peaks in the range 2θ = 10–80°, in order of falling intensity:
index	d (Å)	2theta	intensity
1 2 1	2.393	37.6	100
0 2 2	2.237	40.3	38
0 4 0	2.324	38.7	29
2 4 0	1.355	69.4	27
1 0 1	2.791	32.1	24
1 4 3	1.270	74.8	17
1 0 3	1.516	61.1	16
2 2 2	1.337	70.5	15
1 4 1	1.786	51.1	12
0 0 2	2.553	35.2	12

Cell and atoms:
Unit cell a=3.3332 b=9.2962 c=5.1051 alpha=90.00 beta=90.00 gamma=90.00
Space group Imm2 (No. 44)
One atom of each set of equivalent atoms:
Sn 0.0000 0.0000 0.0000 x2
Au 0.0000 0.2398 0.6432 x4
Au 0.0000 0.5000 0.9740 x2

Starting from DFT lattice parameters and positions (GGA-PBE), the powder XRD pattern of SrSn4Au6 was computed for CuKα.
Kinematic intensities with the Lorentz-polarization factor, no thermal factor.

Principal peaks in the range 2θ = 10–80°, in order of falling intensity:
index	d (Å)	2theta	intensity
2 0 4	2.141	42.2	100
2 2 0	2.536	35.4	64
3 0 1	2.333	38.6	45
1 1 2	3.676	24.2	41
2 0 2	2.977	30.0	39
3 2 3	1.736	52.7	30
2 1 1	3.072	29.1	29
3 1 0	2.269	39.7	28
1 0 3	3.187	28.0	27
1 0 1	5.954	14.9	26

Cell and atoms:
Unit cell a=7.1741 b=7.1741 c=10.6706 alpha=90.00 beta=90.00 gamma=90.00
Space group I-42m (No. 121)
One atom of each set of equivalent atoms:
Sr 0.0000 0.0000 0.0000 x2
Sn 0.1916 0.1916 0.3509 x8
Au 0.0000 0.5000 0.0000 x4
Au 0.1969 0.1969 0.6205 x8